Entry 1:
# HoNi6Ge4
Theoretical X-ray diffraction stick pattern, Cu Kα X-rays. Input: a cell relaxed with PBE.
Neutral-atom scattering factors, no anomalous dispersion.

Cell and atoms:
```
11
Lattice="6.8215 0.0000 0.0000 -3.4108 5.9076 0.0000 0.0000 0.0000 3.7656" Properties=species:S:1:pos:R:3 pbc="T T T"
Ho 0.0000 0.0000 0.0000
Ni 0.0000 2.4232 1.8828
Ni -1.3122 4.6960 1.8828
Ni 3.4108 0.4361 0.0000
Ni 2.0831 2.7357 0.0000
Ni 1.3122 4.6960 1.8828
Ni 4.7384 2.7357 0.0000
Ge 0.0000 3.9384 0.0000
Ge 1.9596 1.1314 1.8828
Ge 4.8619 1.1314 1.8828
Ge 3.4108 3.6448 1.8828
```

Main lines, in order of rising 2θ (10 to 80 degrees two-theta):
| 2theta | I (rel.) |
| --- | --- |
| 35.5 | 51 |
| 38.7 | 100 |
| 40.4 | 43 |
| 47.3 | 27 |
| 48.3 | 29 |
| 52.4 | 24 |
| 53.8 | 28 |
| 61.7 | 14 |
| 64.8 | 21 |
| 75.2 | 20 |

Entry 2:
# Ti8Ga3
Theoretical X-ray diffraction stick pattern, Cu Kα X-rays. Input: a cell relaxed with PBE.
Neutral-atom scattering factors, no anomalous dispersion.

Cell and atoms:
```
11
Lattice="4.1799 2.4132 3.3324 -4.1799 2.4132 3.3324 0.0000 -4.8265 3.3324" Properties=species:S:1:pos:R:3 pbc="T T T"
Ti 0.0000 0.0000 1.4242
Ti -1.7216 0.0587 3.8862
Ti 0.8100 -1.5203 3.8862
Ti -0.9116 -1.4617 6.1109
Ti 0.9116 1.4617 3.8862
Ti -0.8100 1.5203 6.1109
Ti 1.7216 -0.0586 6.1109
Ti 0.0000 0.0000 8.5729
Ga -4.1799 0.0000 4.9985
Ga -2.0899 1.2066 1.6662
Ga 2.0899 1.2066 1.6662
```

Main lines, in order of rising 2θ (10 to 80 degrees two-theta):
| 2theta | I (rel.) |
| --- | --- |
| 26.2 | 19 |
| 30.5 | 26 |
| 34.0 | 100 |
| 34.4 | 18 |
| 37.5 | 51 |
| 38.1 | 43 |
| 51.3 | 17 |
| 51.6 | 60 |
| 52.3 | 18 |
| 72.6 | 18 |

- Number 1 is which compound?
  HoNi6Ge4